Structure and simulated powder X-ray diffraction pattern of K2Rb4TlAs2 (a PBE-relaxed structure; Cu Kα).
Intensities are scaled so that the largest is 1000.

Principal peaks in the range 10 to 80 degrees two-theta, low angle first:
2θ = 10.32°, I = 957
2θ = 24.34°, I = 261
2θ = 24.45°, I = 1000
2θ = 29.38°, I = 325
2θ = 30.35°, I = 554
2θ = 30.53°, I = 390
2θ = 31.30°, I = 217
2θ = 33.27°, I = 321
2θ = 34.30°, I = 307
2θ = 52.95°, I = 247

Cell and atoms:
Cell lengths 9.5064, 9.5064, 5.3859 Å; angles 106.39, 106.39, 66.81 degrees
Atoms (fractional coordinates):
K 0.1442 0.1442 0.1454
K 0.8558 0.8558 0.8546
Rb 0.1547 0.5589 0.3563
Rb 0.4411 0.8453 0.6437
Rb 0.5589 0.1547 0.3563
Rb 0.8453 0.4411 0.6437
Tl 0.5000 0.5000 0.0000
As 0.2876 0.2876 0.7877
As 0.7124 0.7124 0.2123

=====

Structure and simulated powder X-ray diffraction pattern of KNd2PaS5 (a PBE-relaxed structure; Cu Kα).
Intensities are scaled so that the largest is 1000.

Principal peaks in the range 10 to 80 degrees two-theta, low angle first:
2θ = 13.81°, I = 838
2θ = 24.61°, I = 241
2θ = 25.00°, I = 1000
2θ = 34.65°, I = 249
2θ = 35.40°, I = 239
2θ = 35.89°, I = 240
2θ = 36.17°, I = 431
2θ = 43.57°, I = 353
2θ = 50.40°, I = 259
2θ = 51.30°, I = 168

Cell and atoms:
Cell lengths 8.2183, 8.2183, 8.2183 Å; angles 144.06, 127.76, 65.04 degrees
Atoms (fractional coordinates):
K 0.0000 0.0000 0.0000
Nd 0.2965 0.7965 0.5000
Nd 0.7035 0.2035 0.5000
Pa 0.5000 0.5000 0.0000
S 0.1132 0.3511 0.7622
S 0.4111 0.6489 0.7622
S 0.5000 0.0000 0.5000
S 0.5889 0.3511 0.2378
S 0.8868 0.6489 0.2378

=====

Structure and simulated powder X-ray diffraction pattern of Nd4AgSb (a PBE-relaxed structure; Cu Kα).
Intensities are scaled so that the largest is 1000.

Principal peaks in the range 10 to 80 degrees two-theta, low angle first:
2θ = 26.10°, I = 264
2θ = 28.61°, I = 570
2θ = 31.59°, I = 785
2θ = 32.15°, I = 402
2θ = 33.32°, I = 1000
2θ = 34.13°, I = 895
2θ = 38.17°, I = 245
2θ = 43.13°, I = 374
2θ = 45.70°, I = 301
2θ = 67.14°, I = 257

Cell and atoms:
Cell lengths 11.0616, 11.0616, 6.5213 Å; angles 90.00, 90.00, 150.33 degrees
Atoms (fractional coordinates):
Nd 0.0586 0.9414 0.7500
Nd 0.2090 0.7910 0.5033
Nd 0.2090 0.7910 0.9967
Nd 0.3805 0.6195 0.7500
Nd 0.6195 0.3805 0.2500
Nd 0.7910 0.2090 0.0033
Nd 0.7910 0.2090 0.4967
Nd 0.9414 0.0586 0.2500
Ag 0.0799 0.9201 0.2500
Ag 0.9201 0.0799 0.7500
Sb 0.3486 0.6514 0.2500
Sb 0.6514 0.3486 0.7500

=====

Structure and simulated powder X-ray diffraction pattern of Ba2Er2CuPtO8 (a PBE-relaxed structure; Cu Kα).
Intensities are scaled so that the largest is 1000.

Principal peaks in the range 10 to 80 degrees two-theta, low angle first:
2θ = 18.94°, I = 223
2θ = 26.77°, I = 273
2θ = 30.14°, I = 263
2θ = 30.90°, I = 937
2θ = 31.10°, I = 1000
2θ = 31.35°, I = 680
2θ = 32.29°, I = 250
2θ = 32.76°, I = 214
2θ = 37.44°, I = 202
2θ = 45.97°, I = 288

Cell and atoms:
Cell lengths 13.3180, 5.7075, 10.4086 Å; angles 90.00, 90.00, 90.00 degrees
Atoms (fractional coordinates):
Ba 0.0762 0.2500 0.0902
Ba 0.2071 0.7500 0.3124
Ba 0.2929 0.2500 0.8124
Ba 0.4238 0.7500 0.5902
Ba 0.5762 0.2500 0.4098
Ba 0.7071 0.7500 0.1876
Ba 0.7929 0.2500 0.6876
Ba 0.9238 0.7500 0.9098
Er 0.0831 0.2500 0.4854
Er 0.1419 0.7500 0.6855
Er 0.3581 0.2500 0.1855
Er 0.4169 0.7500 0.9854
Er 0.5831 0.2500 0.0146
Er 0.6419 0.7500 0.8145
Er 0.8581 0.2500 0.3145
Er 0.9169 0.7500 0.5146
Cu 0.0398 0.2500 0.7650
Cu 0.4602 0.7500 0.2650
Cu 0.5398 0.2500 0.7350
Cu 0.9602 0.7500 0.2350
Pt 0.1945 0.7500 0.9653
Pt 0.3055 0.2500 0.4653
Pt 0.6945 0.7500 0.5347
Pt 0.8055 0.2500 0.0347
O 0.0086 0.0055 0.6342
O 0.0086 0.4945 0.6342
O 0.0881 0.7500 0.1064
O 0.1143 0.5087 0.8574
O 0.1143 0.9913 0.8574
O 0.2030 0.2500 0.3120
O 0.2151 0.0090 0.5542
O 0.2151 0.4910 0.5542
O 0.2849 0.5090 0.0542
O 0.2849 0.9910 0.0542
O 0.2970 0.7500 0.8120
O 0.3857 0.0087 0.3574
O 0.3857 0.4913 0.3574
O 0.4119 0.2500 0.6064
O 0.4914 0.5055 0.1342
O 0.4914 0.9945 0.1342
O 0.5086 0.0055 0.8658
O 0.5086 0.4945 0.8658
O 0.5881 0.7500 0.3936
O 0.6143 0.5087 0.6426
O 0.6143 0.9913 0.6426
O 0.7030 0.2500 0.1880
O 0.7151 0.0090 0.9458
O 0.7151 0.4910 0.9458
O 0.7849 0.5090 0.4458
O 0.7849 0.9910 0.4458
O 0.7970 0.7500 0.6880
O 0.8857 0.0087 0.1426
O 0.8857 0.4913 0.1426
O 0.9119 0.2500 0.8936
O 0.9914 0.5055 0.3658
O 0.9914 0.9945 0.3658

=====

Structure and simulated powder X-ray diffraction pattern of La4PrHo5 (a PBE-relaxed structure; Cu Kα).
Intensities are scaled so that the largest is 1000.

Principal peaks in the range 10 to 80 degrees two-theta, low angle first:
2θ = 30.12°, I = 1000
2θ = 34.46°, I = 350
2θ = 35.83°, I = 158
2θ = 49.53°, I = 126
2θ = 50.56°, I = 237
2θ = 59.07°, I = 297
2θ = 60.90°, I = 135
2θ = 62.63°, I = 124
2θ = 72.66°, I = 40
2θ = 75.94°, I = 18

Cell and atoms:
Cell lengths 3.6806, 3.6806, 25.0592 Å; angles 90.00, 90.00, 90.00 degrees
Atoms (fractional coordinates):
La 0.0000 0.0000 0.0998
La 0.0000 0.0000 0.2998
La 0.0000 0.0000 0.7002
La 0.0000 0.0000 0.9002
Pr 0.0000 0.0000 0.5000
Ho 0.5000 0.5000 0.0000
Ho 0.5000 0.5000 0.1999
Ho 0.5000 0.5000 0.4006
Ho 0.5000 0.5000 0.5994
Ho 0.5000 0.5000 0.8001

=====

Structure and simulated powder X-ray diffraction pattern of Ba6HgIr (a PBE-relaxed structure; Cu Kα).
Intensities are scaled so that the largest is 1000.

Principal peaks in the range 10 to 80 degrees two-theta, low angle first:
2θ = 14.01°, I = 209
2θ = 17.19°, I = 460
2θ = 25.07°, I = 1000
2θ = 32.22°, I = 711
2θ = 36.22°, I = 177
2θ = 39.00°, I = 463
2θ = 41.71°, I = 258
2θ = 46.93°, I = 161
2θ = 51.45°, I = 181
2θ = 62.71°, I = 199

Cell and atoms:
Cell lengths 7.9998, 7.9998, 15.4510 Å; angles 90.00, 90.00, 120.00 degrees
Atoms (fractional coordinates):
Ba 0.0083 0.3174 0.1167
Ba 0.0083 0.6910 0.3833
Ba 0.3090 0.3174 0.3833
Ba 0.3090 0.9917 0.1167
Ba 0.3174 0.0083 0.6167
Ba 0.3174 0.3090 0.8833
Ba 0.6826 0.6910 0.1167
Ba 0.6826 0.9917 0.3833
Ba 0.6910 0.0083 0.8833
Ba 0.6910 0.6826 0.6167
Ba 0.9917 0.3090 0.6167
Ba 0.9917 0.6826 0.8833
Hg 0.3333 0.6667 0.7500
Hg 0.6667 0.3333 0.2500
Ir 0.0000 0.0000 0.0000
Ir 0.0000 0.0000 0.5000